Starting from a cell relaxed with GGA+U, the powder XRD pattern of Li5Mn2CoO8 was simulated for Cu Kα, 1.54184 Å.
Neutral-atom scattering factors, no anomalous dispersion.

Crystal structure
```
Li5Mn2CoO8
1.0
3.006 0.000 0.000
0.232 5.030 0.000
1.208 0.424 9.595
Li Mn Co O
5 2 1 8
direct
0.000 0.000 0.000
0.112 0.372 0.765
0.379 0.121 0.234
0.621 0.879 0.766
0.888 0.628 0.235
0.250 0.750 0.499
0.750 0.250 0.501
0.500 0.500 0.000
0.040 0.669 0.891
0.163 0.056 0.618
0.335 0.439 0.385
0.437 0.775 0.112
0.563 0.225 0.888
0.665 0.561 0.615
0.837 0.944 0.382
0.960 0.331 0.109
```

Largest 10 diffraction maxima, by angle, 15° ≤ 2θ ≤ 90°:
d_spacing	2θ (°)	I_rel
5.026	17.6	16
4.798	18.5	100
4.535	19.6	11
4.373	20.3	12
2.609	34.4	20
2.487	36.1	12
2.458	36.6	10
2.176	41.5	38
2.063	43.9	32
2.020	44.9	28